Structure and computed XRD peak list of HoTm3Bi3 (a cell relaxed with GGA-PBE; copper Kα).
Kinematic intensities with the Lorentz-polarization factor, no thermal factor.

```
HoTm3Bi3
1.0
9.299 0.000 0.000
0.000 9.299 0.000
0.000 0.000 9.299
Ho Tm Bi
4 12 12
Direct
0.073 0.427 0.573 Ho
0.427 0.573 0.073 Ho
0.573 0.073 0.427 Ho
0.927 0.927 0.927 Ho
0.076 0.576 0.924 Tm
0.176 0.176 0.176 Tm
0.176 0.824 0.324 Tm
0.324 0.176 0.824 Tm
0.324 0.824 0.676 Tm
0.424 0.424 0.424 Tm
0.576 0.924 0.076 Tm
0.676 0.324 0.824 Tm
0.676 0.676 0.676 Tm
0.824 0.324 0.176 Tm
0.824 0.676 0.324 Tm
0.924 0.076 0.576 Tm
0.001 0.252 0.876 Bi
0.124 0.501 0.248 Bi
0.248 0.124 0.501 Bi
0.252 0.876 0.001 Bi
0.376 0.499 0.748 Bi
0.499 0.748 0.376 Bi
0.501 0.248 0.124 Bi
0.624 0.999 0.752 Bi
0.748 0.376 0.499 Bi
0.752 0.624 0.999 Bi
0.876 0.001 0.252 Bi
0.999 0.752 0.624 Bi
```

Principal peaks in the range 2θ = 10–90°, by intensity:
- 30.4 deg, rel. 100.0, hkl 3 1 0
- 36.1 deg, rel. 69.1, hkl 3 1 2
- 61.5 deg, rel. 29.6, hkl 6 1 1
- 50.0 deg, rel. 18.3, hkl 4 1 3
- 75.1 deg, rel. 18.2, hkl 5 5 2
- 43.5 deg, rel. 17.6, hkl 4 0 2
- 65.0 deg, rel. 15.2, hkl 5 1 4
- 47.9 deg, rel. 14.5, hkl 4 2 2
- 45.8 deg, rel. 12.4, hkl 3 3 2
- 63.2 deg, rel. 11.5, hkl 6 2 0